[1]
# Na5V12O32
Calculated PXRD pattern, λ = 1.5418 Å (Cu Kα). Input: a DFT-relaxed cell (GGA+U, Alexandria).
Lines closer than 0.1° are merged.

Main lines, sorted by position (2θ from 10° to 80°):
2θ 12.35, rel. 100; 2θ 22.66, rel. 12; 2θ 24.72, rel. 14; 2θ 27.33, rel. 50; 2θ 27.98, rel. 11; 2θ 29.16, rel. 30; 2θ 29.44, rel. 11; 2θ 38.64, rel. 12; 2θ 38.98, rel. 14; 2θ 49.82, rel. 19

Cell and atoms:
```
data_Na5V12O32
_cell_length_a 15.090
_cell_length_b 7.322
_cell_length_c 12.392
_cell_angle_alpha 90.00
_cell_angle_beta 108.22
_cell_angle_gamma 90.00
_symmetry_space_group_name_H-M 'C 1 m 1'
_symmetry_Int_Tables_number 8
_symmetry_space_group_name_Hall 'C -2y'
loop_
_atom_site_label
_atom_site_fract_x
_atom_site_fract_y
_atom_site_fract_z
Na1 0.000 0.000 0.000
Na2 0.000 0.249 0.645
Na3 0.002 0.500 0.996
Na4 0.033 0.500 0.382
V1 0.156 0.250 0.235
V2 0.182 0.000 0.862
V3 0.182 0.500 0.863
V4 0.214 0.250 0.510
V5 0.287 0.000 0.132
V6 0.289 0.500 0.134
V7 0.319 0.250 0.781
V8 0.337 0.000 0.403
V9 0.341 0.500 0.404
O1 0.059 0.252 0.127
O2 0.075 0.000 0.773
O3 0.075 0.500 0.774
O4 0.120 0.255 0.356
O5 0.137 0.259 0.580
O6 0.170 0.000 0.998
O7 0.170 0.500 0.998
O8 0.195 0.000 0.245
O9 0.195 0.500 0.243
O10 0.220 0.250 0.860
O11 0.241 0.000 0.488
O12 0.243 0.500 0.489
O13 0.258 0.249 0.149
O14 0.279 0.000 0.783
O15 0.280 0.500 0.783
O16 0.304 0.250 0.394
O17 0.330 0.249 0.646
O18 0.359 0.500 0.057
O19 0.360 0.000 0.058
O20 0.377 0.000 0.281
O21 0.377 0.500 0.280
O22 0.426 0.250 0.870
O23 0.438 0.500 0.511
O24 0.439 0.000 0.507
```

***

[2]
# NaV3O8
Calculated PXRD pattern, λ = 1.5418 Å (Cu Kα). Input: a DFT-relaxed cell (GGA+U, Alexandria).
Lines closer than 0.1° are merged.

Main lines, sorted by position (2θ from 10° to 80°):
2θ 12.51, rel. 100; 2θ 22.73, rel. 11; 2θ 25.11, rel. 17; 2θ 25.59, rel. 10; 2θ 27.51, rel. 49; 2θ 29.26, rel. 29; 2θ 29.61, rel. 12; 2θ 39.04, rel. 13; 2θ 39.21, rel. 13; 2θ 50.05, rel. 17

Cell and atoms:
```
data_NaV3O8
_cell_length_a 7.432
_cell_length_b 3.645
_cell_length_c 12.294
_cell_angle_alpha 90.00
_cell_angle_beta 107.34
_cell_angle_gamma 90.00
_symmetry_space_group_name_H-M 'P 1 21/m 1'
_symmetry_Int_Tables_number 11
_symmetry_space_group_name_Hall '-P 2yb'
loop_
_atom_site_label
_atom_site_fract_x
_atom_site_fract_y
_atom_site_fract_z
Na1 0.177 0.250 0.178
V1 0.106 0.750 0.418
V2 0.264 0.750 0.688
V3 0.320 0.750 0.957
O1 0.039 0.250 0.427
O2 0.156 0.750 0.822
O3 0.183 0.250 0.671
O4 0.194 0.750 0.047
O5 0.200 0.750 0.312
O6 0.302 0.750 0.544
O7 0.400 0.250 0.959
O8 0.483 0.750 0.769
```

***

[3]
# NaV6O15
Calculated PXRD pattern, λ = 1.5418 Å (Cu Kα). Input: a DFT-relaxed cell (GGA+U, Alexandria).
Lines closer than 0.1° are merged.

Main lines, sorted by position (2θ from 10° to 80°):
2θ 14.28, rel. 41; 2θ 17.24, rel. 38; 2θ 18.83, rel. 31; 2θ 19.31, rel. 100; 2θ 19.79, rel. 70; 2θ 19.96, rel. 73; 2θ 21.26, rel. 24; 2θ 23.79, rel. 95; 2θ 29.38, rel. 54; 2θ 31.40, rel. 62

Cell and atoms:
```
data_NaV6O15
_cell_length_a 5.885
_cell_length_b 8.054
_cell_length_c 9.245
_cell_angle_alpha 92.59
_cell_angle_beta 95.19
_cell_angle_gamma 96.81
_symmetry_space_group_name_H-M 'P 1'
_symmetry_Int_Tables_number 1
_symmetry_space_group_name_Hall 'P 1'
loop_
_atom_site_label
_atom_site_fract_x
_atom_site_fract_y
_atom_site_fract_z
Na1 0.000 0.000 0.000
V1 0.045 0.197 0.411
V2 0.236 0.599 0.063
V3 0.382 0.730 0.419
V4 0.591 0.285 0.577
V5 0.685 0.391 0.934
V6 0.929 0.815 0.587
O1 0.042 0.160 0.236
O2 0.165 0.706 0.550
O3 0.275 0.799 0.028
O4 0.296 0.593 0.266
O5 0.312 0.313 0.489
O6 0.395 0.917 0.362
O7 0.425 0.449 0.993
O8 0.576 0.096 0.631
O9 0.666 0.700 0.506
O10 0.670 0.418 0.736
O11 0.715 0.194 0.960
O12 0.811 0.310 0.451
O13 0.926 0.520 0.018
O14 0.928 0.848 0.763
O15 0.988 0.009 0.501
```

***

[4]
# NaV4O10
Calculated PXRD pattern, λ = 1.5418 Å (Cu Kα). Input: a DFT-relaxed cell (GGA+U, Alexandria).
Lines closer than 0.1° are merged.

Main lines, sorted by position (2θ from 10° to 80°):
2θ 18.97, rel. 59; 2θ 20.80, rel. 50; 2θ 25.40, rel. 79; 2θ 28.62, rel. 80; 2θ 29.22, rel. 32; 2θ 30.90, rel. 31; 2θ 31.89, rel. 29; 2θ 33.82, rel. 100; 2θ 38.48, rel. 24; 2θ 49.62, rel. 44

Cell and atoms:
```
data_NaV4O10
_cell_length_a 3.675
_cell_length_b 11.717
_cell_length_c 18.717
_cell_angle_alpha 90.00
_cell_angle_beta 90.00
_cell_angle_gamma 90.00
_symmetry_space_group_name_H-M 'C m c m'
_symmetry_Int_Tables_number 63
_symmetry_space_group_name_Hall '-C 2c 2'
loop_
_atom_site_label
_atom_site_fract_x
_atom_site_fract_y
_atom_site_fract_z
Na1 0.000 0.097 0.250
V1 0.000 0.270 0.587
V2 0.000 0.438 0.084
O1 0.000 0.101 0.571
O2 0.000 0.260 0.065
O3 0.000 0.297 0.673
O4 0.000 0.419 0.550
O5 0.000 0.461 0.170
```

***

[5]
# NaV5O8
Calculated PXRD pattern, λ = 1.5418 Å (Cu Kα). Input: a DFT-relaxed cell (GGA+U, Alexandria).
Lines closer than 0.1° are merged.

Main lines, sorted by position (2θ from 10° to 80°):
2θ 11.98, rel. 51; 2θ 12.68, rel. 100; 2θ 14.74, rel. 37; 2θ 23.79, rel. 41; 2θ 31.35, rel. 39; 2θ 34.44, rel. 51; 2θ 34.92, rel. 51; 2θ 38.70, rel. 37; 2θ 55.01, rel. 37; 2θ 62.10, rel. 39

Cell and atoms:
```
data_NaV5O8
_cell_length_a 15.426
_cell_length_b 3.068
_cell_length_c 7.288
_cell_angle_alpha 90.00
_cell_angle_beta 106.74
_cell_angle_gamma 90.00
_symmetry_space_group_name_H-M 'C 1 2/m 1'
_symmetry_Int_Tables_number 12
_symmetry_space_group_name_Hall '-C 2y'
loop_
_atom_site_label
_atom_site_fract_x
_atom_site_fract_y
_atom_site_fract_z
Na1 0.000 0.000 0.000
V1 0.000 0.500 0.500
V2 0.154 0.000 0.427
V3 0.203 0.000 0.832
O1 0.074 0.500 0.300
O2 0.083 0.000 0.624
O3 0.174 0.500 0.983
O4 0.230 0.500 0.640
```

***

[6]
# NaV6O15
Calculated PXRD pattern, λ = 1.5418 Å (Cu Kα). Input: a DFT-relaxed cell (GGA+U, Alexandria).
Lines closer than 0.1° are merged.

Main lines, sorted by position (2θ from 10° to 80°):
2θ 12.00, rel. 100; 2θ 18.45, rel. 23; 2θ 25.96, rel. 77; 2θ 27.46, rel. 28; 2θ 28.82, rel. 51; 2θ 29.80, rel. 47; 2θ 32.18, rel. 32; 2θ 40.97, rel. 24; 2θ 44.81, rel. 20; 2θ 49.75, rel. 34

Cell and atoms:
```
data_NaV6O15
_cell_length_a 15.757
_cell_length_b 3.665
_cell_length_c 10.278
_cell_angle_alpha 90.00
_cell_angle_beta 110.61
_cell_angle_gamma 90.00
_symmetry_space_group_name_H-M 'C 1 m 1'
_symmetry_Int_Tables_number 8
_symmetry_space_group_name_Hall 'C -2y'
loop_
_atom_site_label
_atom_site_fract_x
_atom_site_fract_y
_atom_site_fract_z
Na1 0.000 0.000 0.000
V1 0.116 0.000 0.716
V2 0.162 0.500 0.498
V3 0.214 0.500 0.193
V4 0.287 0.000 0.011
V5 0.336 0.000 0.704
V6 0.381 0.500 0.487
O1 0.000 0.000 0.599
O2 0.063 0.500 0.380
O3 0.104 0.500 0.125
O4 0.107 0.000 0.871
O5 0.133 0.500 0.674
O6 0.184 0.000 0.548
O7 0.235 0.500 0.381
O8 0.243 0.000 0.177
O9 0.257 0.500 0.031
O10 0.261 0.000 0.826
O11 0.313 0.500 0.656
O12 0.366 0.000 0.529
O13 0.384 0.500 0.330
O14 0.397 0.000 0.071
O15 0.435 0.000 0.832
```

***

[7]
# NaV4O10
Calculated PXRD pattern, λ = 1.5418 Å (Cu Kα). Input: a DFT-relaxed cell (GGA+U, Alexandria).
Lines closer than 0.1° are merged.

Main lines, sorted by position (2θ from 10° to 80°):
2θ 19.00, rel. 59; 2θ 20.57, rel. 32; 2θ 25.49, rel. 100; 2θ 28.15, rel. 26; 2θ 28.67, rel. 85; 2θ 30.37, rel. 39; 2θ 31.78, rel. 59; 2θ 34.35, rel. 42; 2θ 38.56, rel. 25; 2θ 49.53, rel. 45

Cell and atoms:
```
data_NaV4O10
_cell_length_a 11.729
_cell_length_b 3.680
_cell_length_c 9.856
_cell_angle_alpha 90.00
_cell_angle_beta 108.63
_cell_angle_gamma 90.00
_symmetry_space_group_name_H-M 'C 1 2/m 1'
_symmetry_Int_Tables_number 12
_symmetry_space_group_name_Hall '-C 2y'
loop_
_atom_site_label
_atom_site_fract_x
_atom_site_fract_y
_atom_site_fract_z
Na1 0.000 0.000 0.000
V1 0.108 0.500 0.668
V2 0.184 0.500 0.325
O1 0.054 0.500 0.399
O2 0.112 0.500 0.152
O3 0.135 0.500 0.840
O4 0.139 0.000 0.640
O5 0.224 0.000 0.369
```